For Li3BiN2, a cell relaxed with PBE gives the computed powder diffraction line list in this record (Cu Kα X-rays).
Intensities are scaled so that the largest is 100.

Crystal structure
```
24
Lattice="-3.529 3.529 9.371 3.529 -3.529 9.371 3.529 3.529 -9.371" Properties=species:S:1:pos:R:3 pbc="T T T"
Li 2.059 0.295 2.343
Li 4.999 0.295 2.343
Li 3.529 1.765 0.449
Li 2.059 3.824 -2.343
Li 1.470 0.295 7.028
Li 3.529 1.765 4.236
Li 0.000 1.765 5.135
Li 2.059 3.234 2.343
Li 1.470 -0.295 11.714
Li 0.000 1.765 8.921
Li -1.470 3.234 7.028
Li 1.470 3.234 7.028
Bi 3.529 -1.765 4.763
Bi 3.529 -1.765 9.293
Bi 0.000 5.294 0.078
Bi 0.000 5.294 4.608
N 3.529 -0.071 3.538
N 3.529 3.458 -3.538
N 1.694 1.765 1.147
N 1.835 -1.765 10.518
N 1.694 5.294 -1.147
N 1.835 1.765 8.224
N 0.000 0.071 12.909
N 0.000 3.600 5.832
```

Top 12 peaks for 2θ = 10–90°, by angle:
two_theta, intensity
13.41, 86.8
18.96, 100.0
25.24, 47.3
26.94, 20.4
28.68, 41.4
31.75, 78.7
37.24, 25.8
40.98, 33.3
46.53, 17.7
52.71, 19.7
55.67, 17.6
62.05, 18.4